(1)
Starting from DFT lattice parameters and positions (PBE), the powder diffractogram of Nd4Y10Ho was computed for copper Kα.
Peak positions follow from Bragg's law for the DFT cell and can differ from measured ones.

Atomic structure:
Cell lengths 11.397, 11.397, 7.933 Å; angles 90.00, 90.00, 90.00 degrees
Space group I4/mmm (No. 139)
One atom of each set of equivalent atoms:
Nd  0.229  0.229  0.000 [8 per cell]
Y  0.000  0.209  0.291 [16 per cell]
Y  0.000  0.500  0.250 [4 per cell]
Ho  0.000  0.000  0.000 [2 per cell]

Peak list (10 most intense, 10 to 80 degrees two-theta, in order of rising 2θ)
27.4 deg, 3.256 Å, intensity 48, hkl 2 0 2
30.4 deg, 2.937 Å, intensity 53, hkl 3 2 1
31.4 deg, 2.849 Å, intensity 87, hkl 4 0 0
31.7 deg, 2.827 Å, intensity 100, hkl 2 2 2
33.6 deg, 2.667 Å, intensity 31, hkl 3 1 2
40.6 deg, 2.224 Å, intensity 33, hkl 3 3 2
45.0 deg, 2.015 Å, intensity 22, hkl 4 4 0
53.0 deg, 1.727 Å, intensity 21, hkl 5 0 3
56.5 deg, 1.628 Å, intensity 21, hkl 4 0 4
66.8 deg, 1.400 Å, intensity 22, hkl 7 3 2



(2)
Starting from DFT lattice parameters and positions (PBE), the powder diffractogram of Nd3YHo was computed for copper Kα.
Peak positions follow from Bragg's law for the DFT cell and can differ from measured ones.

Atomic structure:
Cell lengths 19.945, 12.243, 5.838 Å; angles 90.00, 107.01, 90.00 degrees
Space group C2/c (No. 15)
One atom of each set of equivalent atoms:
Nd  0.095  0.157  0.344 [8 per cell]
Nd  0.095  0.341  0.845 [8 per cell]
Nd  0.195  0.393  0.446 [8 per cell]
Y  0.196  0.106  0.945 [8 per cell]
Ho  0.000  0.089  0.750 [4 per cell]
Ho  0.000  0.412  0.250 [4 per cell]

Peak list (10 most intense, 10 to 80 degrees two-theta, in order of rising 2θ)
29.2 deg, 3.061 Å, intensity 20, hkl 0 4 0
30.6 deg, 2.919 Å, intensity 32, hkl 2 0 -2
31.6 deg, 2.831 Å, intensity 100, hkl 4 2 1
33.4 deg, 2.684 Å, intensity 25, hkl 0 4 1
42.8 deg, 2.112 Å, intensity 14, hkl 2 4 -2
47.7 deg, 1.907 Å, intensity 9, hkl 10 0 0
53.3 deg, 1.718 Å, intensity 12, hkl 6 6 0
55.1 deg, 1.668 Å, intensity 23, hkl 2 2 3
57.7 deg, 1.597 Å, intensity 10, hkl 8 0 2
63.7 deg, 1.460 Å, intensity 9, hkl 4 0 -4



(3)
Starting from DFT lattice parameters and positions (PBE), the powder diffractogram of Nd12YHo2 was computed for copper Kα.
Peak positions follow from Bragg's law for the DFT cell and can differ from measured ones.

Atomic structure:
Cell lengths 7.212, 11.654, 25.044 Å; angles 90.00, 90.00, 90.00 degrees
Space group Cmme (No. 67)
One atom of each set of equivalent atoms:
Nd  0.000  0.002  0.074 [8 per cell]
Nd  0.000  0.023  0.560 [8 per cell]
Nd  0.231  0.250  0.415 [8 per cell]
Nd  0.249  0.250  0.869 [8 per cell]
Nd  0.250  0.000  0.199 [8 per cell]
Nd  0.250  0.000  0.325 [8 per cell]
Y  0.000  0.250  0.999 [4 per cell]
Ho  0.000  0.250  0.267 [4 per cell]
Ho  0.000  0.250  0.729 [4 per cell]

Peak list (10 most intense, 10 to 80 degrees two-theta, in order of rising 2θ)
28.6 deg, 3.126 Å, intensity 28, hkl 2 0 4
29.3 deg, 3.049 Å, intensity 46, hkl 0 2 7
30.0 deg, 2.978 Å, intensity 85, hkl 2 2 2
30.7 deg, 2.914 Å, intensity 71, hkl 0 4 0
32.5 deg, 2.756 Å, intensity 100, hkl 0 2 8
36.4 deg, 2.471 Å, intensity 32, hkl 2 2 6
47.2 deg, 1.925 Å, intensity 19, hkl 2 0 11
55.7 deg, 1.650 Å, intensity 20, hkl 0 6 8
57.4 deg, 1.606 Å, intensity 21, hkl 2 4 11
60.4 deg, 1.533 Å, intensity 21, hkl 4 4 0



(4)
Starting from DFT lattice parameters and positions (PBE), the powder diffractogram of Nd2Y6Ho was computed for copper Kα.
Peak positions follow from Bragg's law for the DFT cell and can differ from measured ones.

Atomic structure:
Cell lengths 9.810, 17.235, 6.955 Å; angles 90.00, 90.00, 90.00 degrees
Space group Ibam (No. 72)
One atom of each set of equivalent atoms:
Nd  0.000  0.167  0.250 [8 per cell]
Y  0.165  0.327  0.000 [8 per cell]
Y  0.169  0.008  0.500 [8 per cell]
Y  0.169  0.342  0.500 [8 per cell]
Ho  0.000  0.500  0.250 [4 per cell]

Peak list (10 most intense, 10 to 80 degrees two-theta, in order of rising 2θ)
31.1 deg, 2.872 Å, intensity 24, hkl 0 6 0
31.5 deg, 2.844 Å, intensity 100, hkl 3 3 0
31.5 deg, 2.837 Å, intensity 26, hkl 2 0 2
44.9 deg, 2.018 Å, intensity 19, hkl 2 6 2
45.2 deg, 2.004 Å, intensity 9, hkl 4 0 2
55.6 deg, 1.653 Å, intensity 18, hkl 3 9 0
55.9 deg, 1.644 Å, intensity 9, hkl 4 6 2
56.2 deg, 1.638 Å, intensity 10, hkl 5 3 2
62.4 deg, 1.487 Å, intensity 6, hkl 0 6 4
62.6 deg, 1.483 Å, intensity 13, hkl 3 3 4



(5)
Starting from DFT lattice parameters and positions (PBE), the powder diffractogram of Nd2YHo7 was computed for copper Kα.
Peak positions follow from Bragg's law for the DFT cell and can differ from measured ones.

Atomic structure:
Cell lengths 6.160, 7.125, 7.962 Å; angles 77.15, 74.93, 73.42 degrees
Space group P-1 (No. 2)
One atom of each set of equivalent atoms:
Nd  0.202  0.299  0.100 [2 per cell]
Y  0.000  0.000  0.500 [1 per cell]
Ho  0.000  0.500  0.500 [1 per cell]
Ho  0.200  0.800  0.100 [2 per cell]
Ho  0.399  0.101  0.698 [2 per cell]
Ho  0.401  0.600  0.698 [2 per cell]

Peak list (10 most intense, 10 to 80 degrees two-theta, in order of rising 2θ)
30.7 deg, 2.912 Å, intensity 34, hkl 0 2 -1
30.8 deg, 2.906 Å, intensity 100, hkl 2 0 1
35.6 deg, 2.520 Å, intensity 45, hkl 1 0 3
35.7 deg, 2.513 Å, intensity 22, hkl 2 2 0
51.2 deg, 1.785 Å, intensity 8, hkl 2 -2 2
51.3 deg, 1.780 Å, intensity 32, hkl 3 2 3
60.9 deg, 1.521 Å, intensity 19, hkl 3 0 4
61.0 deg, 1.518 Å, intensity 24, hkl 2 2 5
61.1 deg, 1.516 Å, intensity 14, hkl 4 2 1
64.1 deg, 1.454 Å, intensity 8, hkl 4 0 2



(6)
Starting from DFT lattice parameters and positions (PBE), the powder diffractogram of Nd6YHo2 was computed for copper Kα.
Peak positions follow from Bragg's law for the DFT cell and can differ from measured ones.

Atomic structure:
Cell lengths 9.435, 17.763, 3.675 Å; angles 90.00, 90.00, 90.00 degrees
Space group Cmmm (No. 65)
One atom of each set of equivalent atoms:
Nd  0.176  0.165  0.000 [8 per cell]
Nd  0.182  0.000  0.500 [4 per cell]
Y  0.000  0.500  0.000 [2 per cell]
Ho  0.000  0.322  0.500 [4 per cell]

Peak list (10 most intense, 10 to 80 degrees two-theta, in order of rising 2θ)
28.8 deg, 3.097 Å, intensity 35, hkl 3 1 0
30.2 deg, 2.963 Å, intensity 100, hkl 0 6 0
32.2 deg, 2.778 Å, intensity 11, hkl 3 3 0
32.5 deg, 2.756 Å, intensity 34, hkl 2 2 1
37.0 deg, 2.427 Å, intensity 17, hkl 2 4 1
38.2 deg, 2.355 Å, intensity 21, hkl 3 5 0
51.9 deg, 1.763 Å, intensity 11, hkl 2 8 1
53.6 deg, 1.710 Å, intensity 11, hkl 1 9 1
57.0 deg, 1.615 Å, intensity 19, hkl 5 3 1
59.2 deg, 1.561 Å, intensity 11, hkl 0 6 2